(1)
CrCoW: calculated X-ray diffraction stick pattern (Cu Kα (λ = 1.5418 Å)), based on a DFT-relaxed cell (PBE, Alexandria).
Peak positions follow from Bragg's law for the DFT cell and can differ from measured ones.

Structural model:
```
12
Lattice="4.706 0.000 0.000 0.000 12.846 0.000 -0.449 0.000 2.539" Properties=species:S:1:pos:R:3 pbc="T T T"
Cr 0.999 0.000 0.658
Cr 0.905 6.423 1.881
Cr 3.352 6.423 0.658
Cr 3.258 0.000 1.881
Co 0.000 4.588 0.000
Co 0.000 8.257 0.000
Co 2.353 1.835 0.000
Co 2.353 11.011 0.000
W -0.225 2.278 1.270
W -0.225 10.568 1.270
W 2.128 4.145 1.270
W 2.128 8.700 1.270
```

Main lines, low angle first (2θ from 10° to 80°):
2θ/deg, d_spacing, I_rel
13.8, 6.423, 47
28.4, 3.145, 51
38.9, 2.317, 30
40.1, 2.247, 36
41.4, 2.180, 43
42.2, 2.141, 43
43.1, 2.101, 100
44.1, 2.053, 33
48.4, 1.880, 25
48.7, 1.870, 28

(2)
Pr2SN2: calculated X-ray diffraction stick pattern (Cu Kα (λ = 1.5418 Å)), based on a DFT-relaxed cell (PBE, Alexandria).
Peak positions follow from Bragg's law for the DFT cell and can differ from measured ones.

Structural model:
```
10
Lattice="6.896 -2.088 0.000 6.896 2.088 0.000 -1.393 0.000 6.475" Properties=species:S:1:pos:R:3 pbc="T T T"
Pr 3.741 1.195 5.517
Pr 7.962 1.195 4.195
Pr 4.437 -1.195 2.280
Pr 8.658 -1.195 0.958
S 6.548 0.941 1.619
S 5.851 -0.941 4.856
N 3.228 0.582 3.041
N 2.531 -0.582 6.278
N 9.867 0.582 0.197
N 9.171 -0.582 3.434
```

Main lines, low angle first (2θ from 10° to 80°):
2θ/deg, d_spacing, I_rel
26.4, 3.371, 28
27.0, 3.305, 59
28.0, 3.192, 32
30.5, 2.933, 100
33.1, 2.705, 37
34.2, 2.625, 16
44.6, 2.030, 24
46.6, 1.950, 28
51.5, 1.776, 17
55.6, 1.653, 16

(3)
AcHoTeAs: calculated X-ray diffraction stick pattern (Cu Kα (λ = 1.5418 Å)), based on a DFT-relaxed cell (PBE, Alexandria).
Peak positions follow from Bragg's law for the DFT cell and can differ from measured ones.

Structural model:
```
12
Lattice="4.306 0.000 0.000 -2.153 3.729 0.000 0.000 0.000 23.282" Properties=species:S:1:pos:R:3 pbc="T T T"
Ac 0.000 0.000 0.000
Ac 0.000 2.486 15.521
Ac 2.153 1.243 7.761
Ho 0.000 0.000 4.392
Ho 0.000 2.486 19.913
Ho 2.153 1.243 12.153
Te 0.000 0.000 10.114
Te 0.000 2.486 2.353
Te 2.153 1.243 17.874
As 0.000 0.000 13.671
As 0.000 2.486 5.911
As 2.153 1.243 21.432
```

Main lines, low angle first (2θ from 10° to 80°):
2θ/deg, d_spacing, I_rel
24.2, 3.682, 26
25.1, 3.552, 38
28.4, 3.140, 38
30.7, 2.911, 100
36.2, 2.482, 41
42.0, 2.153, 58
49.5, 1.841, 17
52.9, 1.731, 22
64.7, 1.441, 18
69.7, 1.349, 19

(4)
Nd6Sn2Os: calculated X-ray diffraction stick pattern (Cu Kα (λ = 1.5418 Å)), based on a DFT-relaxed cell (PBE, Alexandria).
Peak positions follow from Bragg's law for the DFT cell and can differ from measured ones.

Structural model:
```
9
Lattice="4.422 0.000 0.000 0.000 7.250 4.213 0.000 -7.250 4.213" Properties=species:S:1:pos:R:3 pbc="T T T"
Nd 0.000 0.000 0.000
Nd 0.000 -1.706 5.364
Nd 0.000 1.706 5.364
Nd 2.211 -4.329 3.855
Nd 2.211 0.000 2.944
Nd 2.211 4.329 3.855
Sn 0.000 -2.433 2.164
Sn 0.000 2.433 2.164
Os 2.211 0.000 6.467
```

Main lines, low angle first (2θ from 10° to 80°):
2θ/deg, d_spacing, I_rel
12.2, 7.273, 18
29.3, 3.045, 86
31.9, 2.809, 100
32.6, 2.745, 37
37.0, 2.428, 24
38.5, 2.337, 32
38.6, 2.330, 18
40.8, 2.211, 29
53.1, 1.724, 17
59.3, 1.559, 24

(5)
Tm7Sb2Au2: calculated X-ray diffraction stick pattern (Cu Kα (λ = 1.5418 Å)), based on a DFT-relaxed cell (PBE, Alexandria).
Peak positions follow from Bragg's law for the DFT cell and can differ from measured ones.

Structural model:
```
11
Lattice="4.458 -5.331 0.000 4.458 5.331 0.000 0.000 0.000 6.906" Properties=species:S:1:pos:R:3 pbc="T T T"
Tm 0.000 0.000 0.000
Tm 2.229 2.665 1.740
Tm 2.229 2.665 5.166
Tm 2.229 -2.665 1.740
Tm 2.229 -2.665 5.166
Tm 4.458 0.000 1.671
Tm 4.458 0.000 5.234
Sb 1.829 0.000 3.453
Sb 7.086 0.000 3.453
Au 4.458 2.353 0.000
Au 4.458 -2.353 0.000
```

Main lines, low angle first (2θ from 10° to 80°):
2θ/deg, d_spacing, I_rel
21.1, 4.220, 18
23.8, 3.745, 49
26.1, 3.420, 23
29.0, 3.082, 24
33.6, 2.665, 47
37.0, 2.430, 100
37.7, 2.386, 29
40.5, 2.229, 28
53.6, 1.710, 22
78.8, 1.215, 18

(6)
Nd5Sm6Th: calculated X-ray diffraction stick pattern (Cu Kα (λ = 1.5418 Å)), based on a DFT-relaxed cell (PBE, Alexandria).
Peak positions follow from Bragg's law for the DFT cell and can differ from measured ones.

Structural model:
```
12
Lattice="3.165 -5.474 0.000 3.165 5.474 0.000 -2.106 0.000 11.880" Properties=species:S:1:pos:R:3 pbc="T T T"
Nd 0.000 0.000 0.000
Nd 2.112 3.650 5.940
Nd 3.165 1.825 0.000
Nd 3.165 -1.825 0.000
Nd 2.112 -3.650 5.940
Sm 1.070 1.800 2.997
Sm 0.031 0.000 8.884
Sm 1.070 -1.800 2.997
Sm 3.154 1.800 8.884
Sm 4.194 0.000 2.996
Sm 3.154 -1.800 8.884
Th 2.112 0.000 5.940
```

Main lines, low angle first (2θ from 10° to 80°):
2θ/deg, d_spacing, I_rel
30.0, 2.981, 100
30.1, 2.970, 33
34.8, 2.579, 67
49.9, 1.826, 24
50.1, 1.821, 24
59.4, 1.557, 24
59.4, 1.555, 19
59.5, 1.553, 14
62.3, 1.490, 13
73.4, 1.290, 8

(7)
Ce2Mg12Tl7: calculated X-ray diffraction stick pattern (Cu Kα (λ = 1.5418 Å)), based on a DFT-relaxed cell (PBE, Alexandria).
Peak positions follow from Bragg's law for the DFT cell and can differ from measured ones.

Structural model:
```
21
Lattice="11.679 0.000 0.000 -5.839 10.114 0.000 0.000 0.000 4.513" Properties=species:S:1:pos:R:3 pbc="T T T"
Ce 0.000 6.743 1.176
Ce 5.839 3.371 3.337
Mg -2.049 4.320 3.383
Mg -0.311 2.704 1.108
Mg -3.342 9.032 1.108
Mg 2.186 1.622 3.405
Mg -1.073 9.728 3.383
Mg 2.717 3.934 1.130
Mg 3.122 6.180 3.383
Mg 6.913 0.386 1.130
Mg 3.654 8.493 1.108
Mg 9.182 1.082 3.405
Mg 6.151 7.410 3.405
Mg 7.888 5.794 1.130
Tl 0.000 0.000 2.257
Tl -2.499 7.193 3.397
Tl 0.860 4.353 3.397
Tl 4.200 1.432 1.116
Tl 1.640 8.682 3.397
Tl 4.980 5.761 1.116
Tl 8.339 2.921 1.116
```

Main lines, low angle first (2θ from 10° to 80°):
2θ/deg, d_spacing, I_rel
23.3, 3.823, 100
24.9, 3.571, 34
26.5, 3.368, 56
30.6, 2.917, 72
33.2, 2.701, 24
37.8, 2.382, 40
40.9, 2.206, 75
43.9, 2.063, 28
46.7, 1.943, 22
58.5, 1.578, 27